Entry 1:
# ZrAgO
Simulated XRD peak list, λ = 1.5418 Å (Cu Kα). Input: a DFT-relaxed cell (PBE, Alexandria).
Lines closer than 0.1° are merged.

Atomic structure:
Unit cell a=3.536 b=3.536 c=9.530 alpha=100.61 beta=100.61 gamma=59.91
Fractional positions:
Zr 0.220 0.220 0.162
Zr 0.780 0.780 0.838
Ag 0.370 0.370 0.608
Ag 0.630 0.630 0.392
O 0.138 0.138 0.913
O 0.862 0.862 0.087

Top 12 peaks for 5° ≤ 2θ ≤ 70°, in order of falling intensity:
d [Å]	Position (°2θ)	Rel. int.
2.429	37.01	100
2.685	33.38	80
1.767	51.72	62
2.990	29.88	59
2.302	39.13	50
2.328	38.68	28
1.672	54.93	22
1.407	66.45	21
2.804	31.92	18
3.043	29.35	15
1.759	51.99	13
9.312	9.50	13

---

Entry 2:
# AgOs2
Simulated XRD peak list, λ = 1.5418 Å (Cu Kα). Input: a DFT-relaxed cell (PBE, Alexandria).
Lines closer than 0.1° are merged.

Atomic structure:
Unit cell a=7.662 b=7.662 c=4.438 alpha=90.00 beta=90.00 gamma=159.19
Fractional positions:
Ag 0.219 0.781 0.750
Ag 0.781 0.219 0.250
Os 0.097 0.903 0.250
Os 0.449 0.551 0.250
Os 0.551 0.449 0.750
Os 0.903 0.097 0.750

Top 12 peaks for 5° ≤ 2θ ≤ 70°, in order of falling intensity:
d [Å]	Position (°2θ)	Rel. int.
2.128	42.49	100
2.186	41.30	40
2.219	40.66	35
7.536	11.74	34
2.424	37.08	18
2.512	35.74	16
1.433	65.10	13
1.637	56.20	11
1.663	55.23	9
1.384	67.71	8
1.853	49.18	7
1.734	52.79	4

---

Entry 3:
# Ag2Os3
Simulated XRD peak list, λ = 1.5418 Å (Cu Kα). Input: a DFT-relaxed cell (PBE, Alexandria).
Lines closer than 0.1° are merged.

Atomic structure:
Unit cell a=11.990 b=11.990 c=11.990 alpha=13.19 beta=13.19 gamma=13.19
Fractional positions:
Ag 0.099 0.099 0.099
Ag 0.901 0.901 0.901
Os 0.305 0.305 0.305
Os 0.500 0.500 0.500
Os 0.695 0.695 0.695

Top 12 peaks for 5° ≤ 2θ ≤ 70°, in order of falling intensity:
d [Å]	Position (°2θ)	Rel. int.
2.261	39.86	100
1.982	45.78	66
2.377	37.85	39
1.377	68.11	21
1.428	65.36	20
5.942	14.91	18
11.884	7.44	12
1.921	47.33	5
1.628	56.53	4
1.698	54.01	2
2.103	43.02	1
1.799	50.73	1

---

Entry 4:
# Ag5Os
Simulated XRD peak list, λ = 1.5418 Å (Cu Kα). Input: a DFT-relaxed cell (PBE, Alexandria).
Lines closer than 0.1° are merged.

Atomic structure:
Unit cell a=5.654 b=5.654 c=7.053 alpha=104.21 beta=104.21 gamma=27.97
Fractional positions:
Ag 0.000 0.000 0.000
Ag 0.060 0.060 0.615
Ag 0.334 0.334 0.660
Ag 0.672 0.672 0.326
Ag 0.732 0.732 0.956
Os 0.398 0.398 0.287

Top 12 peaks for 5° ≤ 2θ ≤ 70°, in order of falling intensity:
d [Å]	Position (°2θ)	Rel. int.
2.161	41.81	100
2.413	37.26	80
2.286	39.42	35
2.275	39.62	35
1.459	63.80	19
1.705	53.77	11
1.709	53.61	11
2.588	34.67	10
1.367	68.68	8
6.824	12.97	7
1.369	68.54	7
1.362	68.95	6

---

Entry 5:
# AgOs5
Simulated XRD peak list, λ = 1.5418 Å (Cu Kα). Input: a DFT-relaxed cell (PBE, Alexandria).
Lines closer than 0.1° are merged.

Atomic structure:
Unit cell a=5.251 b=5.251 c=6.511 alpha=104.01 beta=104.01 gamma=30.61
Fractional positions:
Ag 0.000 0.000 0.000
Os 0.052 0.052 0.603
Os 0.325 0.325 0.657
Os 0.378 0.378 0.281
Os 0.668 0.668 0.341
Os 0.725 0.725 0.931

Top 12 peaks for 5° ≤ 2θ ≤ 70°, in order of falling intensity:
d [Å]	Position (°2θ)	Rel. int.
2.114	42.78	100
2.108	42.90	68
2.224	40.56	50
2.101	43.05	30
2.398	37.50	30
1.382	67.80	22
2.392	37.60	18
1.386	67.59	12
1.634	56.31	10
1.628	56.52	9
6.303	14.05	7
1.623	56.70	6

---

Entry 6:
# AgOsPb2
Simulated XRD peak list, λ = 1.5418 Å (Cu Kα). Input: a DFT-relaxed cell (PBE, Alexandria).
Lines closer than 0.1° are merged.

Atomic structure:
Unit cell a=3.299 b=3.253 c=8.672 alpha=90.00 beta=90.87 gamma=90.00
Fractional positions:
Ag 0.000 0.000 0.000
Os 0.500 0.000 0.500
Pb 0.009 0.500 0.702
Pb 0.991 0.500 0.298

Top 12 peaks for 5° ≤ 2θ ≤ 70°, in order of falling intensity:
d [Å]	Position (°2θ)	Rel. int.
2.603	34.46	100
8.671	10.20	62
2.159	41.84	40
2.316	38.88	34
2.244	40.19	26
2.191	41.21	25
3.299	27.03	21
2.232	40.42	21
1.381	67.88	20
2.645	33.90	17
1.395	67.07	15
1.626	56.60	14